Starting from DFT lattice parameters and positions (GGA-PBE), the powder diffraction line list of Sr2RuW was simulated for Cu Kα.
Intensities are scaled so that the largest is 100.

```
Sr2RuW
1.0
9.3124 -1.7133 0.0000
9.3124 1.7133 0.0000
-0.7906 0.0000 3.7655
Sr Ru W
2 1 1
Direct
0.1473 0.1473 0.1463
0.8527 0.8527 0.8537
0.5000 0.5000 0.0000
0.0000 0.0000 0.5000
```

Main lines, by angle (15 to 90 degrees two-theta):
two_theta, I_rel
26.47, 27
27.44, 44
29.40, 54
36.47, 79
40.43, 100
62.57, 31